For Zr3Ta5, a DFT-relaxed cell (GGA-PBE, Alexandria) gives the simulated powder diffractogram in this record (Cu Kα (λ = 1.5418 Å)).

Top 6 peaks for 2θ from 10° to 90°, low angle first:
h k l	2θ/deg	d/Å	I_rel
2 2 1	37.1	2.423	100.0
0 0 2	37.3	2.410	26.1
0 4 0	37.6	2.390	25.2
0 4 2	54.0	1.697	17.8
2 2 3	67.2	1.394	17.6
2 6 1	67.6	1.386	16.9

Crystal structure
```
data_Zr3Ta5
_cell_length_a 6.9196
_cell_length_b 9.5582
_cell_length_c 4.8194
_cell_angle_alpha 90.00
_cell_angle_beta 90.00
_cell_angle_gamma 90.00
_symmetry_space_group_name_H-M 'P 1'
_symmetry_Int_Tables_number 1
_symmetry_space_group_name_Hall 'P 1'
loop_
_atom_site_label
_atom_site_fract_x
_atom_site_fract_y
_atom_site_fract_z
Zr1 0.0000 0.0000 0.0000
Zr2 0.0000 0.2387 0.5000
Zr3 0.0000 0.7613 0.5000
Zr4 0.5000 0.2613 0.5000
Zr5 0.5000 0.5000 0.0000
Zr6 0.5000 0.7387 0.5000
Ta1 0.0000 0.5000 0.0000
Ta2 0.2162 0.5000 0.5000
Ta3 0.2500 0.2500 0.0000
Ta4 0.2500 0.7500 0.0000
Ta5 0.2838 0.0000 0.5000
Ta6 0.5000 0.0000 0.0000
Ta7 0.7162 0.0000 0.5000
Ta8 0.7500 0.2500 0.0000
Ta9 0.7500 0.7500 0.0000
Ta10 0.7838 0.5000 0.5000
```